No. 1
Starting from a GGA-PBE-relaxed structure, the X-ray diffraction stick pattern of Pm3Sb5Rh6 was simulated for a wavelength of 1.5418 Å.
Intensities are scaled so that the largest is 100.

Atomic structure:
Unit cell a=4.324 b=13.367 c=10.126 alpha=90.00 beta=90.00 gamma=90.00
Space group Pmmn (No. 59, origin choice 2)
Asymmetric unit:
1 Pm 0.250 0.080 0.248 x4
2 Pm 0.250 0.750 0.250 x2
3 Sb 0.250 0.083 0.851 x4
4 Sb 0.250 0.630 0.525 x4
5 Sb 0.250 0.750 0.846 x2
6 Rh 0.250 0.057 0.596 x4
7 Rh 0.250 0.250 0.490 x2
8 Rh 0.250 0.250 0.997 x2
9 Rh 0.250 0.583 0.002 x4

Top 10 peaks for 2θ = 5–70°, most intense first:
h k l, Position (°2θ), intensity
1 3 2, 33.9, 100
2 0 0, 41.8, 35
1 0 3, 33.7, 32
0 6 0, 40.5, 23
0 3 3, 33.3, 22
2 6 0, 59.6, 14
0 3 5, 49.4, 13
1 3 0, 28.8, 12
1 5 1, 40.7, 11
2 3 5, 66.6, 11

***

No. 2
Starting from a GGA-PBE-relaxed structure, the X-ray diffraction stick pattern of Pm3Si2SbRh9 was simulated for a wavelength of 1.5418 Å.
Intensities are scaled so that the largest is 100.

Atomic structure:
Unit cell a=6.1876 b=6.1876 c=9.1609 alpha=90.00 beta=90.00 gamma=120.00
Space group P-3m1 (No. 164)
Asymmetric unit:
1 Pm 0.0000 0.0000 0.0000 x1
2 Pm 0.3333 0.6667 0.7226 x2
3 Si 0.3333 0.6667 0.1623 x2
4 Sb 0.0000 0.0000 0.5000 x1
5 Rh 0.0000 0.5000 0.0000 x3
6 Rh 0.1475 0.2951 0.2723 x6

Top 10 peaks for 2θ = 5–70°, most intense first:
h k l, Position (°2θ), intensity
2 0 2, 38.9, 100
0 2 1, 34.9, 82
2 0 3, 45.0, 31
2 2 0, 59.8, 27
0 0 4, 39.3, 25
0 0 1, 9.7, 24
0 2 5, 61.3, 18
0 0 3, 29.2, 15
1 2 2, 49.2, 13
1 0 0, 16.5, 13

***

No. 3
Starting from a GGA-PBE-relaxed structure, the X-ray diffraction stick pattern of Pm3Si3Rh2 was simulated for a wavelength of 1.5418 Å.
Intensities are scaled so that the largest is 100.

Atomic structure:
Unit cell a=4.246 b=10.971 c=14.084 alpha=90.00 beta=90.00 gamma=90.00
Space group Cmcm (No. 63)
Asymmetric unit:
1 Pm 0.000 0.079 0.114 x8
2 Pm 0.000 0.359 0.250 x4
3 Si 0.000 0.330 0.750 x4
4 Si 0.000 0.385 0.041 x8
5 Rh 0.000 0.217 0.576 x8

Top 10 peaks for 2θ = 5–70°, most intense first:
h k l, Position (°2θ), intensity
1 1 4, 34.1, 100
1 3 1, 32.9, 89
1 3 3, 37.7, 70
2 0 0, 42.6, 47
0 2 5, 35.8, 32
0 0 6, 38.3, 28
0 2 3, 25.0, 28
0 4 3, 38.0, 27
0 4 1, 33.3, 27
1 3 2, 34.8, 24

***

No. 4
Starting from a GGA-PBE-relaxed structure, the X-ray diffraction stick pattern of Pm3Si8Rh3 was simulated for a wavelength of 1.5418 Å.
Intensities are scaled so that the largest is 100.

Atomic structure:
Unit cell a=4.268 b=8.154 c=8.490 alpha=116.15 beta=91.48 gamma=104.60
Space group P1 (No. 1)
Asymmetric unit:
1 Pm 0.000 0.000 0.000 x1
2 Pm 0.279 0.568 0.339 x1
3 Pm 0.577 0.138 0.654 x1
4 Si 0.129 0.230 0.433 x1
5 Si 0.163 0.355 0.934 x1
6 Si 0.400 0.805 0.729 x1
7 Si 0.452 0.931 0.242 x1
8 Si 0.654 0.314 0.058 x1
9 Si 0.667 0.611 0.042 x1
10 Si 0.802 0.525 0.608 x1
11 Si 0.920 0.832 0.588 x1
12 Rh 0.311 0.512 0.746 x1
13 Rh 0.637 0.259 0.311 x1
14 Rh 0.932 0.875 0.326 x1

Top 10 peaks for 2θ = 5–70°, most intense first:
h k l, Position (°2θ), intensity
1 1 0, 28.3, 100
0 3 -2, 34.6, 55
2 -1 0, 42.4, 50
0 0 3, 35.8, 46
0 1 -2, 21.0, 33
0 3 1, 45.7, 32
1 0 2, 34.9, 31
1 1 -2, 30.5, 30
1 -2 2, 31.2, 29
1 1 -3, 37.8, 29

***

No. 5
Starting from a GGA-PBE-relaxed structure, the X-ray diffraction stick pattern of Pm3Si2Rh4 was simulated for a wavelength of 1.5418 Å.
Intensities are scaled so that the largest is 100.

Atomic structure:
Unit cell a=10.732 b=4.129 c=8.785 alpha=90.00 beta=111.17 gamma=90.00
Space group C2/m (No. 12)
Asymmetric unit:
1 Pm 0.000 0.000 0.000 x2
2 Pm 0.126 0.500 0.694 x4
3 Si 0.158 0.500 0.308 x4
4 Rh 0.144 0.000 0.436 x4
5 Rh 0.217 0.500 0.072 x4

Top 10 peaks for 2θ = 5–70°, most intense first:
h k l, Position (°2θ), intensity
1 1 2, 34.2, 100
3 1 -1, 33.2, 72
3 1 -3, 40.7, 41
0 2 0, 43.9, 35
3 1 0, 34.6, 28
2 0 -3, 31.1, 26
4 0 1, 41.4, 24
7 1 -2, 64.9, 22
0 0 3, 32.8, 17
4 0 -1, 33.5, 16

***

No. 6
Starting from a GGA-PBE-relaxed structure, the X-ray diffraction stick pattern of PmSi5Rh2 was simulated for a wavelength of 1.5418 Å.
Intensities are scaled so that the largest is 100.

Atomic structure:
Unit cell a=4.265 b=6.407 c=9.610 alpha=90.00 beta=90.00 gamma=90.00
Space group Immm (No. 71)
Asymmetric unit:
1 Pm 0.000 0.000 0.000 x2
2 Si 0.000 0.187 0.369 x8
3 Si 0.000 0.500 0.000 x2
4 Rh 0.000 0.500 0.237 x4

Top 10 peaks for 2θ = 5–70°, most intense first:
h k l, Position (°2θ), intensity
1 1 2, 31.3, 100
1 2 1, 36.3, 39
1 3 2, 51.5, 38
0 2 4, 47.3, 31
0 2 0, 27.9, 30
2 0 0, 42.4, 26
2 2 4, 65.4, 23
0 1 3, 31.2, 20
1 0 3, 35.0, 16
1 0 1, 22.8, 13